Diffraction record for Mg2BeTe. The XRD peak list is simulated, not measured: it uses a PBE-relaxed structure and Cu Ka.

Lattice parameters (Å, degrees): 3.9981 3.7061 6.0795 90.00 109.13 90.00
Atoms (fractional coordinates):
Mg1 0.0000 0.0000 0.0000
Mg2 0.3418 0.5000 0.6846
Be1 0.5619 0.5000 0.1248
Te1 0.7110 0.0000 0.4240

Main lines, by angle (2θ = 15–90°):
15.43°, intensity 80; 23.56°, intensity 70; 24.01°, intensity 42; 28.67°, intensity 47; 32.37°, intensity 73; 33.89°, intensity 100; 39.70°, intensity 47; 40.71°, intensity 49; 60.10°, intensity 24; 61.84°, intensity 25

---

Diffraction record for MgBeTl. The XRD peak list is simulated, not measured: it uses a PBE-relaxed structure and Cu Ka.

Lattice parameters (Å, degrees): 3.7578 3.7578 10.3697 90.00 90.00 120.00
Atoms (fractional coordinates):
Mg1 0.0000 0.0000 0.1447
Mg2 0.0000 0.0000 0.8553
Be1 0.3333 0.6667 0.9989
Be2 0.6667 0.3333 0.0011
Tl1 0.3333 0.6667 0.6263
Tl2 0.6667 0.3333 0.3737

Main lines, by angle (2θ = 15–90°):
25.77°, intensity 16; 28.75°, intensity 100; 32.48°, intensity 99; 34.60°, intensity 22; 37.97°, intensity 53; 48.45°, intensity 29; 52.31°, intensity 19; 59.55°, intensity 18; 60.67°, intensity 17; 60.89°, intensity 26